[1]
This entry pairs a crystal structure of TbY4Sc6 with its calculated X-ray diffraction stick pattern. Radiation: λ = 1.5418 Å (Cu Kα). Structure: DFT lattice parameters and positions (GGA-PBE).
Peak positions follow from Bragg's law for the DFT cell and can differ from measured ones.

Main lines, sorted by position (10° ≤ 2θ ≤ 80°):
- 15.02 deg, intensity 59
- 30.15 deg, intensity 68
- 30.30 deg, intensity 88
- 31.68 deg, intensity 55
- 31.97 deg, intensity 100
- 35.90 deg, intensity 37
- 36.30 deg, intensity 50
- 40.09 deg, intensity 31
- 60.10 deg, intensity 29
- 60.27 deg, intensity 28

Lattice parameters (Å, degrees): 9.0736 9.0736 9.0736 138.96 138.96 59.44
Atoms (fractional coordinates):
1 Tb 0.0000 0.0000 0.0000
2 Y 0.0121 0.0121 0.3840
3 Y 0.3719 0.9879 0.0000
4 Y 0.6281 0.6281 0.6160
5 Y 0.9879 0.3719 0.0000
6 Sc 0.0000 0.5000 0.5000
7 Sc 0.2161 0.5579 0.0000
8 Sc 0.4421 0.4421 0.6582
9 Sc 0.5000 0.0000 0.5000
10 Sc 0.5579 0.2161 0.0000
11 Sc 0.7839 0.7839 0.3418

[2]
This entry pairs a crystal structure of TbY6Sc3 with its calculated X-ray diffraction stick pattern. Radiation: λ = 1.5418 Å (Cu Kα). Structure: DFT lattice parameters and positions (GGA-PBE).
Peak positions follow from Bragg's law for the DFT cell and can differ from measured ones.

Main lines, sorted by position (10° ≤ 2θ ≤ 80°):
- 16.61 deg, intensity 19
- 29.48 deg, intensity 49
- 29.87 deg, intensity 29
- 32.15 deg, intensity 100
- 32.88 deg, intensity 55
- 33.58 deg, intensity 23
- 34.52 deg, intensity 28
- 35.54 deg, intensity 31
- 58.22 deg, intensity 28
- 58.69 deg, intensity 23

Lattice parameters (Å, degrees): 11.2286 11.2286 6.2668 90.00 90.00 130.30
Atoms (fractional coordinates):
1 Tb 0.1584 0.8416 0.5000
2 Tb 0.8416 0.1584 0.0000
3 Y 0.0153 0.9847 0.2757
4 Y 0.1042 0.5403 0.8098
5 Y 0.2640 0.3771 0.0672
6 Y 0.3021 0.6979 0.2751
7 Y 0.3771 0.2640 0.5672
8 Y 0.4597 0.8958 0.8098
9 Y 0.5403 0.1042 0.3098
10 Y 0.6229 0.7360 0.0672
11 Y 0.6979 0.3021 0.7751
12 Y 0.7360 0.6229 0.5672
13 Y 0.8958 0.4597 0.3098
14 Y 0.9847 0.0153 0.7757
15 Sc 0.0407 0.2940 0.4698
16 Sc 0.2940 0.0407 0.9698
17 Sc 0.4161 0.5839 0.5878
18 Sc 0.5839 0.4161 0.0878
19 Sc 0.7060 0.9593 0.4698
20 Sc 0.9593 0.7060 0.9698

[3]
This entry pairs a crystal structure of Tb5YSc2 with its calculated X-ray diffraction stick pattern. Radiation: λ = 1.5418 Å (Cu Kα). Structure: DFT lattice parameters and positions (GGA-PBE).
Peak positions follow from Bragg's law for the DFT cell and can differ from measured ones.

Main lines, sorted by position (10° ≤ 2θ ≤ 80°):
- 23.54 deg, intensity 25
- 31.36 deg, intensity 100
- 31.87 deg, intensity 68
- 32.41 deg, intensity 20
- 35.51 deg, intensity 15
- 47.70 deg, intensity 11
- 50.71 deg, intensity 12
- 52.91 deg, intensity 12
- 55.49 deg, intensity 14
- 60.52 deg, intensity 23

Lattice parameters (Å, degrees): 8.7903 8.7903 8.7903 119.32 119.32 91.18
Atoms (fractional coordinates):
1 Tb 0.0000 0.0000 0.0000
2 Tb 0.0089 0.5089 0.2009
3 Tb 0.1920 0.9911 0.5000
4 Tb 0.3080 0.8080 0.7991
5 Tb 0.4911 0.6920 0.5000
6 Tb 0.5000 0.5000 0.0000
7 Tb 0.5089 0.3080 0.5000
8 Tb 0.6920 0.1920 0.2009
9 Tb 0.8080 0.0089 0.5000
10 Tb 0.9911 0.4911 0.7991
11 Y 0.2500 0.2500 0.0000
12 Y 0.7500 0.7500 0.0000
13 Sc 0.1458 0.3542 0.5000
14 Sc 0.3542 0.8542 0.2083
15 Sc 0.6458 0.1458 0.7917
16 Sc 0.8542 0.6458 0.5000

[4]
This entry pairs a crystal structure of Tb2Y2Sc5 with its calculated X-ray diffraction stick pattern. Radiation: λ = 1.5418 Å (Cu Kα). Structure: DFT lattice parameters and positions (GGA-PBE).
Peak positions follow from Bragg's law for the DFT cell and can differ from measured ones.

Main lines, sorted by position (10° ≤ 2θ ≤ 80°):
- 13.57 deg, intensity 67
- 22.82 deg, intensity 48
- 27.72 deg, intensity 48
- 30.55 deg, intensity 67
- 31.74 deg, intensity 55
- 32.58 deg, intensity 83
- 33.07 deg, intensity 48
- 33.62 deg, intensity 100
- 34.35 deg, intensity 87
- 36.80 deg, intensity 47

Lattice parameters (Å, degrees): 8.8842 8.8842 8.8842 97.78 123.92 107.85
Atoms (fractional coordinates):
1 Tb 0.0000 0.0000 0.0000
2 Tb 0.0000 0.5000 0.5000
3 Tb 0.0165 0.8713 0.6452
4 Tb 0.2260 0.3713 0.3548
5 Y 0.3058 0.0372 0.4793
6 Y 0.3058 0.3266 0.7686
7 Y 0.5579 0.5372 0.2314
8 Y 0.5579 0.8266 0.5207
9 Sc 0.0460 0.3415 0.9050
10 Sc 0.0460 0.6410 0.2045
11 Sc 0.2779 0.7478 0.0301
12 Sc 0.4365 0.1410 0.0950
13 Sc 0.4365 0.8415 0.7955
14 Sc 0.6751 0.3626 0.5640
15 Sc 0.6751 0.6111 0.8125
16 Sc 0.7178 0.2478 0.9699
17 Sc 0.7986 0.1111 0.4360
18 Sc 0.7986 0.8626 0.1875

[5]
This entry pairs a crystal structure of Tb4Y4Sc with its calculated X-ray diffraction stick pattern. Radiation: λ = 1.5418 Å (Cu Kα). Structure: DFT lattice parameters and positions (GGA-PBE).
Peak positions follow from Bragg's law for the DFT cell and can differ from measured ones.

Main lines, sorted by position (10° ≤ 2θ ≤ 80°):
- 11.79 deg, intensity 12
- 25.92 deg, intensity 10
- 31.00 deg, intensity 100
- 35.89 deg, intensity 34
- 36.05 deg, intensity 17
- 51.66 deg, intensity 12
- 51.78 deg, intensity 23
- 61.48 deg, intensity 28
- 61.69 deg, intensity 14
- 64.61 deg, intensity 12

Lattice parameters (Å, degrees): 7.9093 7.9093 7.9093 95.69 95.69 143.28
Atoms (fractional coordinates):
1 Tb 0.0000 0.3324 0.3324
2 Tb 0.0000 0.6676 0.6676
3 Tb 0.3324 0.0000 0.3324
4 Tb 0.6676 0.0000 0.6676
5 Y 0.3356 0.3356 0.6712
6 Y 0.3356 0.6644 0.0000
7 Y 0.6644 0.3356 0.0000
8 Y 0.6644 0.6644 0.3288
9 Sc 0.0000 0.0000 0.0000

[6]
This entry pairs a crystal structure of Tb3Y3Sc5 with its calculated X-ray diffraction stick pattern. Radiation: λ = 1.5418 Å (Cu Kα). Structure: DFT lattice parameters and positions (GGA-PBE).
Peak positions follow from Bragg's law for the DFT cell and can differ from measured ones.

Main lines, sorted by position (10° ≤ 2θ ≤ 80°):
- 11.39 deg, intensity 17
- 16.20 deg, intensity 37
- 19.80 deg, intensity 34
- 25.68 deg, intensity 100
- 32.74 deg, intensity 34
- 34.66 deg, intensity 96
- 38.51 deg, intensity 22
- 43.62 deg, intensity 21
- 45.25 deg, intensity 36
- 48.40 deg, intensity 31

Lattice parameters (Å, degrees): 8.9700 8.9700 5.4707 90.00 90.00 120.00
Atoms (fractional coordinates):
1 Tb 0.0000 0.3827 0.0000
2 Tb 0.3827 0.0000 0.0000
3 Tb 0.6173 0.6173 0.0000
4 Y 0.0000 0.6187 0.5000
5 Y 0.3813 0.3813 0.5000
6 Y 0.6187 0.0000 0.5000
7 Sc 0.0000 0.7592 0.0000
8 Sc 0.2408 0.2408 0.0000
9 Sc 0.3333 0.6667 0.0000
10 Sc 0.6667 0.3333 0.0000
11 Sc 0.7592 0.0000 0.0000

[7]
This entry pairs a crystal structure of Tb5Y2Sc with its calculated X-ray diffraction stick pattern. Radiation: λ = 1.5418 Å (Cu Kα). Structure: DFT lattice parameters and positions (GGA-PBE).
Peak positions follow from Bragg's law for the DFT cell and can differ from measured ones.

Main lines, sorted by position (10° ≤ 2θ ≤ 80°):
- 16.27 deg, intensity 5
- 21.30 deg, intensity 6
- 28.65 deg, intensity 24
- 31.88 deg, intensity 24
- 32.87 deg, intensity 100
- 43.39 deg, intensity 15
- 50.75 deg, intensity 19
- 57.44 deg, intensity 20
- 61.19 deg, intensity 22
- 61.80 deg, intensity 16

Lattice parameters (Å, degrees): 8.3906 7.1980 6.6673 74.37 55.70 49.93
Atoms (fractional coordinates):
1 Tb 0.0000 0.0000 0.0000
2 Tb 0.0838 0.0838 0.4162
3 Tb 0.5048 0.9980 0.4952
4 Tb 0.5838 0.5838 0.9162
5 Tb 0.9980 0.5048 0.0020
6 Y 0.0908 0.5810 0.4190
7 Y 0.5810 0.0908 0.9092
8 Sc 0.5015 0.5015 0.4985

[8]
This entry pairs a crystal structure of TbY3Sc8 with its calculated X-ray diffraction stick pattern. Radiation: λ = 1.5418 Å (Cu Kα). Structure: DFT lattice parameters and positions (GGA-PBE).
Peak positions follow from Bragg's law for the DFT cell and can differ from measured ones.

Main lines, sorted by position (10° ≤ 2θ ≤ 80°):
- 15.07 deg, intensity 24
- 21.38 deg, intensity 26
- 22.68 deg, intensity 85
- 25.41 deg, intensity 22
- 30.42 deg, intensity 65
- 34.07 deg, intensity 39
- 38.28 deg, intensity 100
- 46.32 deg, intensity 39
- 59.35 deg, intensity 27
- 63.79 deg, intensity 22

Lattice parameters (Å, degrees): 7.8892 7.8892 7.8892 116.42 116.42 96.32
Atoms (fractional coordinates):
1 Tb 0.0000 0.0000 0.0000
2 Y 0.2500 0.7500 0.5000
3 Y 0.5000 0.5000 0.0000
4 Y 0.7500 0.2500 0.5000
5 Sc 0.1189 0.3693 0.0000
6 Sc 0.2280 0.7427 0.0000
7 Sc 0.2573 0.2573 0.4853
8 Sc 0.3693 0.1189 0.0000
9 Sc 0.6307 0.6307 0.7495
10 Sc 0.7427 0.2280 0.0000
11 Sc 0.7720 0.7720 0.5147
12 Sc 0.8811 0.8811 0.2505

[9]
This entry pairs a crystal structure of Tb2Y5Sc4 with its calculated X-ray diffraction stick pattern. Radiation: λ = 1.5418 Å (Cu Kα). Structure: DFT lattice parameters and positions (GGA-PBE).
Peak positions follow from Bragg's law for the DFT cell and can differ from measured ones.

Main lines, sorted by position (10° ≤ 2θ ≤ 80°):
- 10.17 deg, intensity 51
- 25.32 deg, intensity 100
- 31.64 deg, intensity 61
- 32.57 deg, intensity 92
- 32.74 deg, intensity 87
- 33.34 deg, intensity 54
- 33.84 deg, intensity 49
- 34.06 deg, intensity 47
- 35.77 deg, intensity 59
- 36.43 deg, intensity 46

Lattice parameters (Å, degrees): 8.7327 3.5170 10.7903 90.00 94.89 90.00
Atoms (fractional coordinates):
1 Tb 0.0763 0.0000 0.1367
2 Tb 0.9237 0.0000 0.8633
3 Y 0.1467 0.0000 0.6327
4 Y 0.4548 0.0000 0.1657
5 Y 0.5000 0.0000 0.5000
6 Y 0.5452 0.0000 0.8343
7 Y 0.8533 0.0000 0.3673
8 Sc 0.2023 0.5000 0.3699
9 Sc 0.2453 0.5000 0.9258
10 Sc 0.7547 0.5000 0.0742
11 Sc 0.7977 0.5000 0.6301

[10]
This entry pairs a crystal structure of Tb10YSc4 with its calculated X-ray diffraction stick pattern. Radiation: λ = 1.5418 Å (Cu Kα). Structure: DFT lattice parameters and positions (GGA-PBE).
Peak positions follow from Bragg's law for the DFT cell and can differ from measured ones.

Main lines, sorted by position (10° ≤ 2θ ≤ 80°):
- 13.05 deg, intensity 27
- 20.25 deg, intensity 42
- 26.34 deg, intensity 99
- 31.84 deg, intensity 28
- 33.46 deg, intensity 100
- 36.02 deg, intensity 49
- 37.60 deg, intensity 55
- 43.09 deg, intensity 43
- 43.46 deg, intensity 22
- 61.54 deg, intensity 22

Lattice parameters (Å, degrees): 8.7434 8.7434 8.7434 104.57 104.57 119.80
Atoms (fractional coordinates):
1 Tb 0.0315 0.6954 0.0983
2 Tb 0.0667 0.9685 0.6639
3 Tb 0.2500 0.7500 0.5000
4 Tb 0.3046 0.4029 0.3362
5 Tb 0.4029 0.0667 0.0983
6 Tb 0.5971 0.9333 0.9017
7 Tb 0.6954 0.5971 0.6639
8 Tb 0.7500 0.2500 0.5000
9 Tb 0.9333 0.0315 0.3362
10 Tb 0.9685 0.3046 0.9017
11 Y 0.0000 0.0000 0.0000
12 Sc 0.2730 0.4503 0.7233
13 Sc 0.4503 0.7270 0.1773
14 Sc 0.5497 0.2730 0.8227
15 Sc 0.7270 0.5497 0.2767

[11]
This entry pairs a crystal structure of TbY3Sc7 with its calculated X-ray diffraction stick pattern. Radiation: λ = 1.5418 Å (Cu Kα). Structure: DFT lattice parameters and positions (GGA-PBE).
Peak positions follow from Bragg's law for the DFT cell and can differ from measured ones.

Main lines, sorted by position (10° ≤ 2θ ≤ 80°):
- 16.39 deg, intensity 35
- 24.99 deg, intensity 100
- 26.86 deg, intensity 26
- 32.88 deg, intensity 70
- 33.13 deg, intensity 51
- 34.35 deg, intensity 84
- 34.42 deg, intensity 56
- 34.76 deg, intensity 46
- 47.37 deg, intensity 36
- 59.69 deg, intensity 31

Lattice parameters (Å, degrees): 7.9989 7.9989 5.4487 109.84 109.84 81.68
Atoms (fractional coordinates):
1 Tb 0.0000 0.0000 0.0000
2 Y 0.2894 0.7106 0.5000
3 Y 0.5000 0.5000 0.0000
4 Y 0.7106 0.2894 0.5000
5 Sc 0.0000 0.0000 0.5000
6 Sc 0.0922 0.4741 0.7833
7 Sc 0.2905 0.2905 0.2913
8 Sc 0.4741 0.0922 0.7833
9 Sc 0.5259 0.9078 0.2167
10 Sc 0.7095 0.7095 0.7087
11 Sc 0.9078 0.5259 0.2167

[12]
This entry pairs a crystal structure of Tb5Y2Sc4 with its calculated X-ray diffraction stick pattern. Radiation: λ = 1.5418 Å (Cu Kα). Structure: DFT lattice parameters and positions (GGA-PBE).
Peak positions follow from Bragg's law for the DFT cell and can differ from measured ones.

Main lines, sorted by position (10° ≤ 2θ ≤ 80°):
- 25.35 deg, intensity 100
- 27.71 deg, intensity 51
- 30.94 deg, intensity 97
- 31.63 deg, intensity 50
- 32.60 deg, intensity 64
- 32.82 deg, intensity 60
- 33.94 deg, intensity 57
- 36.60 deg, intensity 42
- 40.41 deg, intensity 69
- 63.56 deg, intensity 35

Lattice parameters (Å, degrees): 8.6963 3.5137 10.8187 90.00 95.04 90.00
Atoms (fractional coordinates):
1 Tb 0.0000 0.0000 0.0000
2 Tb 0.0463 0.0000 0.3312
3 Tb 0.3509 0.0000 0.8658
4 Tb 0.6491 0.0000 0.1342
5 Tb 0.9537 0.0000 0.6688
6 Y 0.4251 0.0000 0.3627
7 Y 0.5749 0.0000 0.6373
8 Sc 0.2495 0.5000 0.5725
9 Sc 0.2995 0.5000 0.1272
10 Sc 0.7005 0.5000 0.8728
11 Sc 0.7505 0.5000 0.4275

[13]
This entry pairs a crystal structure of Tb2Y4Sc3 with its calculated X-ray diffraction stick pattern. Radiation: λ = 1.5418 Å (Cu Kα). Structure: DFT lattice parameters and positions (GGA-PBE).
Peak positions follow from Bragg's law for the DFT cell and can differ from measured ones.

Main lines, sorted by position (10° ≤ 2θ ≤ 80°):
- 29.30 deg, intensity 25
- 30.77 deg, intensity 58
- 31.61 deg, intensity 49
- 32.29 deg, intensity 64
- 32.61 deg, intensity 100
- 38.28 deg, intensity 45
- 39.55 deg, intensity 20
- 50.82 deg, intensity 20
- 51.48 deg, intensity 20
- 58.02 deg, intensity 20

Lattice parameters (Å, degrees): 9.6235 9.6235 6.0474 93.98 93.98 72.06
Atoms (fractional coordinates):
1 Tb 0.0259 0.7390 0.6754
2 Tb 0.2610 0.9741 0.8246
3 Tb 0.7390 0.0259 0.1754
4 Tb 0.9741 0.2610 0.3246
5 Y 0.0752 0.3539 0.8432
6 Y 0.3094 0.5926 0.9907
7 Y 0.3539 0.0752 0.3432
8 Y 0.4074 0.6906 0.5093
9 Y 0.5926 0.3094 0.4907
10 Y 0.6461 0.9248 0.6568
11 Y 0.6906 0.4074 0.0093
12 Y 0.9248 0.6461 0.1568
13 Sc 0.0972 0.9028 0.2500
14 Sc 0.2337 0.4327 0.4166
15 Sc 0.4327 0.2337 0.9166
16 Sc 0.5673 0.7663 0.0834
17 Sc 0.7663 0.5673 0.5834
18 Sc 0.9028 0.0972 0.7500